(1)
Structure and simulated X-ray powder pattern of Sr3CaCl4F4 (a DFT-relaxed cell (PBE, the Materials Project); Cu Ka).
Peak positions follow from Bragg's law for the DFT cell and can differ from measured ones.

Main lines, sorted by position (2θ = 15–90°):
2θ (°)  Rel. int.
25.1  64
30.7  85
33.5  100
40.2  74
44.0  60
44.5  25
56.4  40
57.0  24

Structural model:
a b c (Å): 4.116 4.116 14.051
angles (deg): 90.00 90.00 90.00
Atoms (fractional coordinates):
Sr: 0.000 0.000 0.000
Sr: 0.000 0.000 0.489
Sr: 0.500 0.500 0.793
Ca: 0.500 0.500 0.297
Cl: 0.000 0.000 0.220
Cl: 0.000 0.000 0.712
Cl: 0.500 0.500 0.080
Cl: 0.500 0.500 0.567
F: 0.000 0.500 0.387
F: 0.000 0.500 0.895
F: 0.500 0.000 0.387
F: 0.500 0.000 0.895



(2)
Structure and simulated X-ray powder pattern of Lu2CdS4 (a DFT-relaxed cell (PBE, the Materials Project); Cu Ka).
Peak positions follow from Bragg's law for the DFT cell and can differ from measured ones.

Main lines, sorted by position (2θ = 15–90°):
2θ (°)  Rel. int.
22.6  16
26.6  100
27.8  21
32.2  32
42.2  44
46.2  60
64.3  23
85.5  20

Structural model:
a b c (Å): 7.865 7.865 7.865
angles (deg): 60.00 60.00 60.00
Atoms (fractional coordinates):
Lu: 0.000 0.000 0.000
Lu: 0.000 0.000 0.500
Lu: 0.000 0.500 0.000
Lu: 0.500 0.000 0.000
Cd: 0.375 0.375 0.375
Cd: 0.625 0.625 0.625
S: 0.224 0.759 0.759
S: 0.241 0.241 0.241
S: 0.241 0.241 0.776
S: 0.241 0.776 0.241
S: 0.759 0.224 0.759
S: 0.759 0.759 0.224
S: 0.759 0.759 0.759
S: 0.776 0.241 0.241



(3)
Structure and simulated X-ray powder pattern of MnPRh (a DFT-relaxed cell (PBE, the Materials Project); Cu Ka).
Peak positions follow from Bragg's law for the DFT cell and can differ from measured ones.

Main lines, sorted by position (2θ = 15–90°):
2θ (°)  Rel. int.
29.8  24
38.7  100
42.6  36
46.3  36
49.5  21
52.9  40
70.1  25
85.7  22

Structural model:
a b c (Å): 5.996 5.996 3.682
angles (deg): 90.00 90.00 120.00
Atoms (fractional coordinates):
Mn: 0.000 0.605 0.000
Mn: 0.395 0.395 0.000
Mn: 0.605 0.000 0.000
P: 0.000 0.000 0.000
P: 0.333 0.667 0.500
P: 0.667 0.333 0.500
Rh: 0.000 0.265 0.500
Rh: 0.265 0.000 0.500
Rh: 0.735 0.735 0.500



(4)
Structure and simulated X-ray powder pattern of CoSn3 (a DFT-relaxed cell (PBE, the Materials Project); Cu Ka).
Peak positions follow from Bragg's law for the DFT cell and can differ from measured ones.

Main lines, sorted by position (2θ = 15–90°):
2θ (°)  Rel. int.
28.3  34
31.5  51
34.4  100
36.8  87
42.9  75
45.9  44
62.3  25
63.8  25

Structural model:
a b c (Å): 17.621 17.621 17.621
angles (deg): 159.40 159.40 29.29
Atoms (fractional coordinates):
Co: 0.085 0.835 0.250
Co: 0.165 0.915 0.250
Co: 0.335 0.585 0.750
Co: 0.415 0.665 0.750
Co: 0.585 0.335 0.250
Co: 0.665 0.415 0.250
Co: 0.835 0.085 0.750
Co: 0.915 0.165 0.750
Sn: 0.025 0.638 0.748
Sn: 0.040 0.790 0.579
Sn: 0.110 0.862 0.888
Sn: 0.138 0.525 0.248
Sn: 0.210 0.290 0.250
Sn: 0.223 0.110 0.748
Sn: 0.277 0.025 0.888
Sn: 0.290 0.540 0.079
Sn: 0.362 0.610 0.388
Sn: 0.390 0.277 0.752
Sn: 0.460 0.040 0.750
Sn: 0.475 0.223 0.612
Sn: 0.525 0.777 0.388
Sn: 0.540 0.960 0.250
Sn: 0.610 0.723 0.248
Sn: 0.638 0.390 0.612
Sn: 0.710 0.460 0.921
Sn: 0.723 0.975 0.112
Sn: 0.777 0.890 0.252
Sn: 0.790 0.710 0.750
Sn: 0.862 0.475 0.752
Sn: 0.890 0.138 0.112
Sn: 0.960 0.210 0.421
Sn: 0.975 0.362 0.252



(5)
Structure and simulated X-ray powder pattern of EuY2O4 (a DFT-relaxed cell (PBE, the Materials Project); Cu Ka).
Peak positions follow from Bragg's law for the DFT cell and can differ from measured ones.

Main lines, sorted by position (2θ = 15–90°):
2θ (°)  Rel. int.
27.1  20
29.8  46
30.3  100
31.3  28
31.4  20
35.6  22
35.7  21
44.0  30

Structural model:
a b c (Å): 3.422 10.166 11.998
angles (deg): 89.82 89.84 89.80
Atoms (fractional coordinates):
Eu: 0.000 0.000 0.000
Eu: 0.001 0.498 0.798
Eu: 0.500 0.009 0.499
Eu: 0.508 0.507 0.301
Y: 0.001 0.332 0.540
Y: 0.001 0.833 0.260
Y: 0.005 0.828 0.763
Y: 0.006 0.329 0.037
Y: 0.503 0.173 0.760
Y: 0.505 0.180 0.262
Y: 0.505 0.675 0.040
Y: 0.507 0.681 0.537
O: 0.003 0.046 0.326
O: 0.003 0.127 0.627
O: 0.003 0.233 0.867
O: 0.003 0.628 0.173
O: 0.005 0.738 0.935
O: 0.005 0.834 0.573
O: 0.006 0.545 0.476
O: 0.007 0.334 0.226
O: 0.501 0.772 0.366
O: 0.501 0.881 0.128
O: 0.502 0.275 0.432
O: 0.502 0.378 0.673
O: 0.503 0.674 0.727
O: 0.505 0.962 0.825
O: 0.506 0.463 0.972
O: 0.507 0.176 0.073



(6)
Structure and simulated X-ray powder pattern of AsHPbO4 (a DFT-relaxed cell (PBE, the Materials Project); Cu Ka).
Peak positions follow from Bragg's law for the DFT cell and can differ from measured ones.

Main lines, sorted by position (2θ = 15–90°):
2θ (°)  Rel. int.
19.8  25
25.8  100
25.9  32
27.7  96
30.2  29
34.4  27
40.2  34
45.0  20

Structural model:
a b c (Å): 4.989 6.880 5.955
angles (deg): 90.00 95.48 90.00
Atoms (fractional coordinates):
As: 0.000 0.206 0.000
As: 0.000 0.794 0.500
H: 0.974 0.475 0.246
H: 0.974 0.525 0.746
Pb: 0.490 0.198 0.513
Pb: 0.490 0.802 0.013
O: 0.135 0.355 0.810
O: 0.135 0.645 0.310
O: 0.244 0.068 0.151
O: 0.244 0.932 0.651
O: 0.741 0.069 0.870
O: 0.741 0.931 0.370
O: 0.854 0.351 0.201
O: 0.854 0.649 0.701



(7)
Structure and simulated X-ray powder pattern of DyBr2 (a DFT-relaxed cell (PBE, the Materials Project); Cu Ka).
Peak positions follow from Bragg's law for the DFT cell and can differ from measured ones.

Main lines, sorted by position (2θ = 15–90°):
2θ (°)  Rel. int.
18.8  44
22.2  100
29.9  97
32.5  72
33.7  90
37.4  45
41.2  37
42.8  55

Structural model:
a b c (Å): 6.689 13.138 7.749
angles (deg): 90.00 90.00 90.00
Atoms (fractional coordinates):
Dy: 0.156 0.098 0.048
Dy: 0.156 0.402 0.548
Dy: 0.344 0.598 0.048
Dy: 0.344 0.902 0.548
Dy: 0.656 0.098 0.452
Dy: 0.656 0.402 0.952
Dy: 0.844 0.598 0.452
Dy: 0.844 0.902 0.952
Br: 0.023 0.038 0.702
Br: 0.023 0.462 0.202
Br: 0.213 0.710 0.372
Br: 0.213 0.790 0.872
Br: 0.287 0.210 0.372
Br: 0.287 0.290 0.872
Br: 0.477 0.538 0.702
Br: 0.477 0.962 0.202
Br: 0.523 0.038 0.798
Br: 0.523 0.462 0.298
Br: 0.713 0.710 0.128
Br: 0.713 0.790 0.628
Br: 0.787 0.210 0.128
Br: 0.787 0.290 0.628
Br: 0.977 0.538 0.798
Br: 0.977 0.962 0.298



(8)
Structure and simulated X-ray powder pattern of MgSbRhO4 (a DFT-relaxed cell (PBE, the Materials Project); Cu Ka).
Peak positions follow from Bragg's law for the DFT cell and can differ from measured ones.

Main lines, sorted by position (2θ = 15–90°):
2θ (°)  Rel. int.
18.7  69
19.3  86
27.8  100
29.1  80
31.7  82
33.8  70
34.1  86
48.8  50

Structural model:
a b c (Å): 5.073 3.202 6.405
angles (deg): 90.00 110.58 90.00
Atoms (fractional coordinates):
Mg: 0.000 0.000 0.000
Sb: 0.186 0.000 0.555
Rh: 0.507 0.500 0.151
O: 0.126 0.500 0.886
O: 0.338 0.000 0.289
O: 0.623 0.000 0.004
O: 0.915 0.500 0.406